Entry 1:
In3Te4: simulated XRD peak list (Cu Ka), based on a GGA-PBE-relaxed structure.
Peak positions follow from Bragg's law for the DFT cell and can differ from measured ones.

```
data_In3Te4
_chemical_formula_sum 'In9 Te12'
_cell_length_a 4.3313
_cell_length_b 4.3313
_cell_length_c 42.2580
_cell_angle_alpha 90.00
_cell_angle_beta 90.00
_cell_angle_gamma 120.00
_space_group_name_H-M_alt 'R -3 m'
_space_group_IT_number 166
_space_group_name_Hall '-R 3 2"'
loop_
_atom_site_label
_atom_site_fract_x
_atom_site_fract_y
_atom_site_fract_z
_atom_site_occupancy
In1 0.0000 0.0000 0.0000 1
In2 0.0000 0.0000 0.4253 1
Te1 0.0000 0.0000 0.1267 1
Te2 0.0000 0.0000 0.2915 1
```

Most intense lines, 2θ = 10–90°, low angle first:
2θ/deg  I (rel.)  index
28.0  100  1 0 7
31.9  10  1 0 10
38.3  26  0 1 14
41.7  40  1 1 0
43.7  14  0 1 17
51.0  19  0 2 7
57.9  8  2 0 14
67.9  15  2 1 7
68.7  11  1 1 24
76.2  8  3 0 0

---

Entry 2:
Th3InTe6: simulated XRD peak list (Cu Ka), based on a GGA-PBE-relaxed structure.
Peak positions follow from Bragg's law for the DFT cell and can differ from measured ones.

```
data_Th3InTe6
_chemical_formula_sum 'Th6 In2 Te12'
_cell_length_a 13.311
_cell_length_b 4.479
_cell_length_c 13.872
_cell_angle_alpha 90.00
_cell_angle_beta 108.16
_cell_angle_gamma 90.00
_space_group_name_H-M_alt 'P 1 21/m 1'
_space_group_IT_number 11
_space_group_name_Hall '-P 2yb'
loop_
_atom_site_label
_atom_site_fract_x
_atom_site_fract_y
_atom_site_fract_z
_atom_site_occupancy
Th1 0.020 0.250 0.125 1
Th2 0.229 0.250 0.774 1
Th3 0.343 0.750 0.453 1
In1 0.390 0.750 0.101 1
Te1 0.063 0.750 0.687 1
Te2 0.161 0.250 0.974 1
Te3 0.177 0.750 0.238 1
Te4 0.243 0.250 0.550 1
Te5 0.399 0.750 0.865 1
Te6 0.450 0.250 0.360 1
```

Most intense lines, 2θ = 10–90°, low angle first:
2θ/deg  I (rel.)  index
11.1  55  1 0 1
24.1  48  2 1 -1
24.3  31  2 1 0
26.3  43  2 0 -4
26.5  100  2 1 1
29.1  34  3 1 0
35.5  42  4 1 -3
39.7  61  0 1 5
40.3  49  0 2 0
48.7  32  7 0 -1

---

Entry 3:
ThIn7Te6: simulated XRD peak list (Cu Ka), based on a GGA-PBE-relaxed structure.
Peak positions follow from Bragg's law for the DFT cell and can differ from measured ones.

```
data_ThIn7Te6
_chemical_formula_sum 'Th3 In21 Te18'
_cell_length_a 9.1873
_cell_length_b 9.1873
_cell_length_c 20.2830
_cell_angle_alpha 90.00
_cell_angle_beta 90.00
_cell_angle_gamma 120.00
_space_group_name_H-M_alt 'R 3'
_space_group_IT_number 146
_space_group_name_Hall 'R 3'
loop_
_atom_site_label
_atom_site_fract_x
_atom_site_fract_y
_atom_site_fract_z
_atom_site_occupancy
Th1 0.0000 0.0000 0.0000 1
In1 0.0000 0.0000 0.3406 1
In2 0.0259 0.2647 0.2362 1
In3 0.1174 0.6720 0.4260 1
Te1 0.0046 0.4342 0.7529 1
Te2 0.0942 0.7459 0.5853 1
```

Most intense lines, 2θ = 10–90°, low angle first:
2θ/deg  I (rel.)  index
11.9  23  1 0 1
23.4  42  2 -1 3
26.4  37  0 0 6
30.0  100  3 -1 1
31.0  45  3 -2 2
32.9  75  2 -1 6
37.2  53  3 -2 5
41.1  20  1 3 1
43.4  39  2 1 7
62.2  24  6 -3 3

---

Entry 4:
Ti4InTe: simulated XRD peak list (Cu Ka), based on a GGA-PBE-relaxed structure.
Peak positions follow from Bragg's law for the DFT cell and can differ from measured ones.

```
data_Ti4InTe
_chemical_formula_sum 'Ti8 In2 Te2'
_cell_length_a 5.196
_cell_length_b 6.527
_cell_length_c 7.782
_cell_angle_alpha 76.34
_cell_angle_beta 76.13
_cell_angle_gamma 83.81
_space_group_name_H-M_alt 'P -1'
_space_group_IT_number 2
_space_group_name_Hall '-P 1'
loop_
_atom_site_label
_atom_site_fract_x
_atom_site_fract_y
_atom_site_fract_z
_atom_site_occupancy
Ti1 0.064 0.439 0.297 1
Ti2 0.217 0.173 0.704 1
Ti3 0.343 0.023 0.160 1
Ti4 0.421 0.391 0.888 1
In1 0.129 0.770 0.960 1
Te1 0.000 0.000 0.500 1
Te2 0.500 0.500 0.500 1
```

Most intense lines, 2θ = 10–90°, low angle first:
2θ/deg  I (rel.)  index
26.6  68  -1 1 1
27.0  39  1 1 2
28.1  50  0 2 1
33.1  42  0 2 -1
36.2  35  1 1 3
37.2  52  1 -2 1
37.9  100  1 1 -2
38.5  64  2 1 2
41.3  57  0 2 3
43.6  69  1 3 1

---

Entry 5:
TiIn3Te4: simulated XRD peak list (Cu Ka), based on a GGA-PBE-relaxed structure.
Peak positions follow from Bragg's law for the DFT cell and can differ from measured ones.

```
data_TiIn3Te4
_chemical_formula_sum 'Ti2 In6 Te8'
_cell_length_a 12.592
_cell_length_b 6.324
_cell_length_c 6.349
_cell_angle_alpha 90.00
_cell_angle_beta 90.00
_cell_angle_gamma 90.00
_space_group_name_H-M_alt 'P m n 21'
_space_group_IT_number 31
_space_group_name_Hall 'P 2ac -2'
loop_
_atom_site_label
_atom_site_fract_x
_atom_site_fract_y
_atom_site_fract_z
_atom_site_occupancy
Ti1 0.000 0.204 0.000 1
In1 0.000 0.748 0.456 1
In2 0.249 0.758 0.928 1
Te1 0.000 0.241 0.420 1
Te2 0.000 0.779 0.969 1
Te3 0.217 0.254 0.934 1
```

Most intense lines, 2θ = 10–90°, low angle first:
2θ/deg  I (rel.)  index
25.5  25  3 0 1
28.1  75  0 0 2
28.2  76  0 2 0
28.4  64  4 0 0
38.3  19  3 2 1
40.3  100  0 2 2
40.4  47  4 2 0
50.0  47  4 2 2
65.9  19  0 2 4
73.3  13  4 4 2

---

Entry 6:
TiInTe2: simulated XRD peak list (Cu Ka), based on a GGA-PBE-relaxed structure.
Peak positions follow from Bragg's law for the DFT cell and can differ from measured ones.

```
data_TiInTe2
_chemical_formula_sum 'Ti1 In1 Te2'
_cell_length_a 3.8392
_cell_length_b 3.8392
_cell_length_c 8.6196
_cell_angle_alpha 90.00
_cell_angle_beta 90.00
_cell_angle_gamma 120.00
_space_group_name_H-M_alt 'P -6 m 2'
_space_group_IT_number 187
_space_group_name_Hall 'P -6 2'
loop_
_atom_site_label
_atom_site_fract_x
_atom_site_fract_y
_atom_site_fract_z
_atom_site_occupancy
Ti1 0.0000 0.0000 0.0000 1
In1 0.6667 0.3333 0.5000 1
Te1 0.3333 0.6667 0.2025 1
```

Most intense lines, 2θ = 10–90°, low angle first:
2θ/deg  I (rel.)  index
26.8  33  1 0 0
28.8  58  1 0 1
31.1  17  0 0 3
34.1  100  1 0 2
41.5  30  1 0 3
47.4  38  1 1 0
57.8  18  1 1 3
59.6  19  2 0 2
60.5  22  1 0 5
79.4  17  2 1 2

---

Entry 7:
Tl14In2Te9: simulated XRD peak list (Cu Ka), based on a GGA-PBE-relaxed structure.
Peak positions follow from Bragg's law for the DFT cell and can differ from measured ones.

```
data_Tl14In2Te9
_chemical_formula_sum 'Tl14 In2 Te9'
_cell_length_a 9.4994
_cell_length_b 9.4994
_cell_length_c 13.2293
_cell_angle_alpha 90.00
_cell_angle_beta 90.00
_cell_angle_gamma 120.00
_space_group_name_H-M_alt 'P -3'
_space_group_IT_number 147
_space_group_name_Hall '-P 3'
loop_
_atom_site_label
_atom_site_fract_x
_atom_site_fract_y
_atom_site_fract_z
_atom_site_occupancy
Tl1 0.0000 0.0000 0.2407 1
Tl2 0.0212 0.6761 0.3968 1
Tl3 0.1089 0.4218 0.1010 1
In1 0.3333 0.6667 0.7678 1
Te1 0.0000 0.0000 0.5000 1
Te2 0.0972 0.3520 0.8575 1
Te3 0.3333 0.6667 0.5395 1
```

Most intense lines, 2θ = 10–90°, low angle first:
2θ/deg  I (rel.)  index
19.9  28  2 -1 1
23.1  87  1 1 2
28.7  41  1 2 0
29.5  79  3 -1 1
32.7  66  3 0 0
33.0  100  2 -1 4
33.4  20  0 3 1
35.3  24  2 1 3
43.3  20  2 2 3
45.0  24  1 2 5

---

Entry 8:
Y2Tl3InTe6: simulated XRD peak list (Cu Ka), based on a GGA-PBE-relaxed structure.
Peak positions follow from Bragg's law for the DFT cell and can differ from measured ones.

```
data_Y2Tl3InTe6
_chemical_formula_sum 'Y4 Tl6 In2 Te12'
_cell_length_a 7.720
_cell_length_b 13.361
_cell_length_c 8.510
_cell_angle_alpha 90.00
_cell_angle_beta 107.64
_cell_angle_gamma 90.00
_space_group_name_H-M_alt 'C 1 2/m 1'
_space_group_IT_number 12
_space_group_name_Hall '-C 2y'
loop_
_atom_site_label
_atom_site_fract_x
_atom_site_fract_y
_atom_site_fract_z
_atom_site_occupancy
Y1 0.000 0.165 0.000 1
Tl1 0.000 0.000 0.500 1
Tl2 0.000 0.328 0.500 1
In1 0.000 0.500 0.000 1
Te1 0.233 0.336 0.210 1
Te2 0.243 0.000 0.216 1
```

Most intense lines, 2θ = 10–90°, low angle first:
2θ/deg  I (rel.)  index
27.4  100  2 0 -2
29.5  11  2 0 1
37.7  37  1 3 -3
40.5  36  3 3 -1
49.6  19  4 0 0
53.3  8  3 3 2
56.5  11  4 0 -4
61.9  14  3 3 -5
65.9  16  5 3 -3
71.8  11  4 6 -4

---

Entry 9:
Tm8In2Te: simulated XRD peak list (Cu Ka), based on a GGA-PBE-relaxed structure.
Peak positions follow from Bragg's law for the DFT cell and can differ from measured ones.

```
data_Tm8In2Te
_chemical_formula_sum 'Tm16 In4 Te2'
_cell_length_a 19.211
_cell_length_b 4.963
_cell_length_c 6.820
_cell_angle_alpha 90.00
_cell_angle_beta 101.51
_cell_angle_gamma 90.00
_space_group_name_H-M_alt 'C 1 2/m 1'
_space_group_IT_number 12
_space_group_name_Hall '-C 2y'
loop_
_atom_site_label
_atom_site_fract_x
_atom_site_fract_y
_atom_site_fract_z
_atom_site_occupancy
Tm1 0.024 0.000 0.254 1
Tm2 0.095 0.500 0.978 1
Tm3 0.156 0.500 0.493 1
Tm4 0.215 0.000 0.820 1
In1 0.185 0.000 0.257 1
Te1 0.000 0.500 0.500 1
```

Most intense lines, 2θ = 10–90°, low angle first:
2θ/deg  I (rel.)  index
27.9  29  3 1 1
29.8  62  5 1 0
30.7  28  5 1 -1
31.8  100  1 1 -2
33.1  23  3 1 -2
33.4  41  1 1 2
33.9  23  6 0 1
36.2  66  0 2 0
38.1  42  7 1 -1
62.0  23  7 1 3

---

Entry 10:
U2InTe6: simulated XRD peak list (Cu Ka), based on a GGA-PBE-relaxed structure.
Peak positions follow from Bragg's law for the DFT cell and can differ from measured ones.

```
data_U2InTe6
_chemical_formula_sum 'U4 In2 Te12'
_cell_length_a 7.112
_cell_length_b 7.112
_cell_length_c 13.490
_cell_angle_alpha 90.00
_cell_angle_beta 90.00
_cell_angle_gamma 90.00
_space_group_name_H-M_alt 'P 42/m n m'
_space_group_IT_number 136
_space_group_name_Hall '-P 4n 2n'
loop_
_atom_site_label
_atom_site_fract_x
_atom_site_fract_y
_atom_site_fract_z
_atom_site_occupancy
U1 0.000 0.000 0.165 1
In1 0.000 0.000 0.500 1
Te1 0.196 0.196 0.000 1
Te2 0.202 0.202 0.329 1
```

Most intense lines, 2θ = 10–90°, low angle first:
2θ/deg  I (rel.)  index
17.6  93  1 1 0
26.6  78  1 1 3
28.1  26  2 1 0
34.5  100  2 1 3
35.7  44  2 2 0
40.1  33  0 0 6
43.1  65  3 0 3
54.8  39  3 3 0
69.3  27  2 1 9
75.0  38  5 2 3

---

Entry 11:
YInTe2: simulated XRD peak list (Cu Ka), based on a GGA-PBE-relaxed structure.
Peak positions follow from Bragg's law for the DFT cell and can differ from measured ones.

```
data_YInTe2
_chemical_formula_sum 'Y4 In4 Te8'
_cell_length_a 10.961
_cell_length_b 6.176
_cell_length_c 8.614
_cell_angle_alpha 90.00
_cell_angle_beta 90.00
_cell_angle_gamma 90.00
_space_group_name_H-M_alt 'P n m a'
_space_group_IT_number 62
_space_group_name_Hall '-P 2ac 2n'
loop_
_atom_site_label
_atom_site_fract_x
_atom_site_fract_y
_atom_site_fract_z
_atom_site_occupancy
Y1 0.050 0.250 0.162 1
In1 0.178 0.250 0.518 1
Te1 0.059 0.750 0.160 1
Te2 0.176 0.750 0.646 1
```

Most intense lines, 2θ = 10–90°, low angle first:
2θ/deg  I (rel.)  index
22.2  72  1 0 2
26.5  83  3 0 1
28.9  100  0 2 0
30.1  28  2 1 2
34.3  49  4 0 1
35.4  38  1 1 3
36.7  39  1 2 2
39.6  49  3 2 1
43.8  36  1 2 3
45.5  44  4 2 1

---

Entry 12:
YInTe2: simulated XRD peak list (Cu Ka), based on a GGA-PBE-relaxed structure.
Peak positions follow from Bragg's law for the DFT cell and can differ from measured ones.

```
data_YInTe2
_chemical_formula_sum 'Y1 In1 Te2'
_cell_length_a 4.4208
_cell_length_b 4.4208
_cell_length_c 9.0896
_cell_angle_alpha 90.00
_cell_angle_beta 90.00
_cell_angle_gamma 120.00
_space_group_name_H-M_alt 'P 3 m 1'
_space_group_IT_number 156
_space_group_name_Hall 'P 3 -2"'
loop_
_atom_site_label
_atom_site_fract_x
_atom_site_fract_y
_atom_site_fract_z
_atom_site_occupancy
Y1 0.0000 0.0000 0.0000 1
In1 0.3333 0.6667 0.4341 1
Te1 0.3333 0.6667 0.8192 1
Te2 0.6667 0.3333 0.2092 1
```

Most intense lines, 2θ = 10–90°, low angle first:
2θ/deg  I (rel.)  index
23.2  24  1 0 0
25.2  90  1 0 1
30.5  100  1 0 2
37.9  65  0 1 3
40.8  60  1 1 0
51.8  22  0 2 2
56.9  19  2 0 3
66.6  24  1 1 5
68.0  19  2 1 2
72.4  19  1 2 3